For Nb4VSe8, a structure optimized by DFT (PBE) gives the simulated X-ray powder pattern in this record (Cu Kα).

Cell lengths 6.9842, 6.9842, 12.8850 Å; angles 90.00, 90.00, 120.00 degrees
Space group P6_3/mmc (No. 194)
Symmetry-distinct sites (fractional):
Nb (0.0000, 0.0000, 0.2500) [2 per cell]
Nb (0.0130, 0.5065, 0.2500) [6 per cell]
V (0.0000, 0.0000, 0.0000) [2 per cell]
Se (0.1673, 0.3345, 0.6205) [12 per cell]
Se (0.3333, 0.6667, 0.1174) [4 per cell]

The 8 most intense peaks (10° ≤ 2θ ≤ 90°), by angle:
two_theta  I_rel
13.75  392
30.36  587
32.71  416
36.33  459
40.93  1000
52.40  487
68.56  205
81.26  255